No. 1
# H6PbCBr3N
Computed powder X-ray diffraction pattern, λ = 1.5418 Å (Cu Kα). Input: a structure optimized by DFT (PBE).

Main lines, in order of rising 2θ (2θ = 10–90°):
- hkl 0 0 1, 2θ = 14.4°, I 91
- hkl 1 0 0, 2θ = 14.6°, I 100
- hkl 0 1 0, 2θ = 14.7°, I 90
- hkl 0 0 2, 2θ = 29.0°, I 62
- hkl 2 0 0, 2θ = 29.5°, I 53
- hkl 0 2 0, 2θ = 29.7°, I 65
- hkl 2 0 -1, 2θ = 32.6°, I 51
- hkl 2 1 0, 2θ = 33.1°, I 64
- hkl 2 0 1, 2θ = 33.3°, I 45
- hkl 2 2 0, 2θ = 42.4°, I 58

Structural model:
```
data_H6PbCBr3N
_chemical_formula_sum 'H6 Pb1 C1 Br3 N1'
_cell_length_a 6.063
_cell_length_b 6.008
_cell_length_c 6.162
_cell_angle_alpha 90.00
_cell_angle_beta 91.40
_cell_angle_gamma 90.00
_symmetry_space_group_name_H-M 'P 1'
_symmetry_Int_Tables_number 1
loop_
_symmetry_equiv_pos_as_xyz
'x,y,z'
loop_
_atom_site_label
_atom_site_type_symbol
_atom_site_fract_x
_atom_site_fract_y
_atom_site_fract_z
_atom_site_occupancy
H1 H 0.000 0.000 0.000 1
H2 H 0.086 0.150 0.240 1
H3 H 0.086 0.850 0.240 1
H4 H 0.686 0.140 0.199 1
H5 H 0.686 0.860 0.199 1
H6 H 0.761 0.000 0.421 1
Pb1 Pb 0.440 0.500 0.695 1
C1 C 0.003 0.000 0.178 1
Br1 Br 0.486 0.500 0.185 1
Br2 Br 0.494 0.000 0.726 1
Br3 Br 0.963 0.500 0.644 1
N1 N 0.771 0.000 0.253 1
```

---

No. 2
# SnH16C4Br6N2
Computed powder X-ray diffraction pattern, λ = 1.5418 Å (Cu Kα). Input: a structure optimized by DFT (PBE).

Main lines, in order of rising 2θ (2θ = 10–90°):
- hkl 1 1 0, 2θ = 12.1°, I 100
- hkl 0 2 0, 2θ = 12.2°, I 31
- hkl 0 1 1, 2θ = 12.9°, I 28
- hkl 1 0 1, 2θ = 15.5°, I 24
- hkl 1 4 0, 2θ = 26.8°, I 34
- hkl 1 2 2, 2θ = 28.1°, I 54
- hkl 2 1 2, 2θ = 31.8°, I 13
- hkl 2 2 2, 2θ = 33.6°, I 19
- hkl 3 3 2, 2θ = 43.8°, I 15
- hkl 0 6 2, 2θ = 44.2°, I 14

Structural model:
```
data_SnH16C4Br6N2
_chemical_formula_sum 'Sn2 H32 C8 Br12 N4'
_cell_length_a 8.504
_cell_length_b 14.462
_cell_length_c 7.766
_cell_angle_alpha 90.00
_cell_angle_beta 90.00
_cell_angle_gamma 90.00
_symmetry_space_group_name_H-M 'P 1'
_symmetry_Int_Tables_number 1
loop_
_symmetry_equiv_pos_as_xyz
'x,y,z'
loop_
_atom_site_label
_atom_site_type_symbol
_atom_site_fract_x
_atom_site_fract_y
_atom_site_fract_z
_atom_site_occupancy
Sn1 Sn 0.000 0.000 0.000 1
Sn2 Sn 0.500 0.500 0.500 1
H1 H 0.037 0.214 0.500 1
H2 H 0.102 0.427 0.000 1
H3 H 0.116 0.319 0.115 1
H4 H 0.116 0.319 0.885 1
H5 H 0.126 0.736 0.385 1
H6 H 0.126 0.736 0.615 1
H7 H 0.139 0.904 0.394 1
H8 H 0.139 0.904 0.606 1
H9 H 0.361 0.404 0.106 1
H10 H 0.361 0.404 0.894 1
H11 H 0.374 0.236 0.115 1
H12 H 0.374 0.236 0.885 1
H13 H 0.384 0.819 0.385 1
H14 H 0.384 0.819 0.615 1
H15 H 0.398 0.927 0.500 1
H16 H 0.463 0.714 0.000 1
H17 H 0.537 0.286 0.000 1
H18 H 0.602 0.073 0.500 1
H19 H 0.616 0.181 0.385 1
H20 H 0.616 0.181 0.615 1
H21 H 0.626 0.764 0.115 1
H22 H 0.626 0.764 0.885 1
H23 H 0.639 0.596 0.106 1
H24 H 0.639 0.596 0.894 1
H25 H 0.861 0.096 0.394 1
H26 H 0.861 0.096 0.606 1
H27 H 0.874 0.264 0.385 1
H28 H 0.874 0.264 0.615 1
H29 H 0.884 0.681 0.115 1
H30 H 0.884 0.681 0.885 1
H31 H 0.898 0.573 0.000 1
H32 H 0.963 0.786 0.500 1
C1 C 0.090 0.774 0.500 1
C2 C 0.152 0.357 0.000 1
C3 C 0.348 0.857 0.500 1
C4 C 0.410 0.274 0.000 1
C5 C 0.590 0.726 0.000 1
C6 C 0.652 0.143 0.500 1
C7 C 0.848 0.643 0.000 1
C8 C 0.910 0.226 0.500 1
Br1 Br 0.161 0.843 0.000 1
Br2 Br 0.188 0.066 0.245 1
Br3 Br 0.188 0.066 0.755 1
Br4 Br 0.312 0.566 0.255 1
Br5 Br 0.312 0.566 0.745 1
Br6 Br 0.339 0.343 0.500 1
Br7 Br 0.661 0.657 0.500 1
Br8 Br 0.688 0.434 0.255 1
Br9 Br 0.688 0.434 0.745 1
Br10 Br 0.812 0.934 0.245 1
Br11 Br 0.812 0.934 0.755 1
Br12 Br 0.839 0.157 0.000 1
N1 N 0.173 0.865 0.500 1
N2 N 0.327 0.365 0.000 1
N3 N 0.673 0.635 0.000 1
N4 N 0.827 0.135 0.500 1
```

---

No. 3
# SnH14C4Br4N2
Computed powder X-ray diffraction pattern, λ = 1.5418 Å (Cu Kα). Input: a structure optimized by DFT (PBE).

Main lines, in order of rising 2θ (2θ = 10–90°):
- hkl 0 1 1, 2θ = 12.4°, I 100
- hkl 1 0 0, 2θ = 13.3°, I 32
- hkl 0 2 0, 2θ = 13.9°, I 30
- hkl 1 1 1, 2θ = 18.8°, I 36
- hkl 1 1 2, 2θ = 26.5°, I 20
- hkl 1 3 1, 2θ = 27.4°, I 24
- hkl 1 2 2, 2θ = 29.1°, I 19
- hkl 1 1 -3, 2θ = 33.4°, I 20
- hkl 2 2 2, 2θ = 38.2°, I 19
- hkl 3 3 -1, 2θ = 46.4°, I 16

Structural model:
```
data_SnH14C4Br4N2
_chemical_formula_sum 'Sn2 H28 C8 Br8 N4'
_cell_length_a 6.707
_cell_length_b 12.707
_cell_length_c 8.699
_cell_angle_alpha 90.00
_cell_angle_beta 95.05
_cell_angle_gamma 90.00
_symmetry_space_group_name_H-M 'P 1'
_symmetry_Int_Tables_number 1
loop_
_symmetry_equiv_pos_as_xyz
'x,y,z'
loop_
_atom_site_label
_atom_site_type_symbol
_atom_site_fract_x
_atom_site_fract_y
_atom_site_fract_z
_atom_site_occupancy
Sn1 Sn 0.000 0.000 0.000 1
Sn2 Sn 0.000 0.500 0.500 1
H1 H 0.104 0.101 0.372 1
H2 H 0.104 0.399 0.872 1
H3 H 0.171 0.236 0.176 1
H4 H 0.171 0.264 0.676 1
H5 H 0.200 0.529 0.853 1
H6 H 0.200 0.971 0.353 1
H7 H 0.311 0.198 0.018 1
H8 H 0.311 0.302 0.518 1
H9 H 0.368 0.077 0.404 1
H10 H 0.368 0.423 0.904 1
H11 H 0.370 0.031 0.139 1
H12 H 0.370 0.469 0.639 1
H13 H 0.435 0.209 0.208 1
H14 H 0.435 0.291 0.708 1
H15 H 0.565 0.709 0.292 1
H16 H 0.565 0.791 0.792 1
H17 H 0.630 0.531 0.361 1
H18 H 0.630 0.969 0.861 1
H19 H 0.632 0.577 0.096 1
H20 H 0.632 0.923 0.596 1
H21 H 0.689 0.698 0.482 1
H22 H 0.689 0.802 0.982 1
H23 H 0.800 0.029 0.647 1
H24 H 0.800 0.471 0.147 1
H25 H 0.829 0.736 0.324 1
H26 H 0.829 0.764 0.824 1
H27 H 0.896 0.601 0.128 1
H28 H 0.896 0.899 0.628 1
C1 C 0.229 0.055 0.335 1
C2 C 0.229 0.445 0.835 1
C3 C 0.294 0.187 0.141 1
C4 C 0.294 0.313 0.641 1
C5 C 0.706 0.687 0.359 1
C6 C 0.706 0.813 0.859 1
C7 C 0.771 0.555 0.165 1
C8 C 0.771 0.945 0.665 1
Br1 Br 0.161 0.681 0.583 1
Br2 Br 0.161 0.819 0.083 1
Br3 Br 0.256 0.020 0.787 1
Br4 Br 0.256 0.480 0.287 1
Br5 Br 0.744 0.520 0.713 1
Br6 Br 0.744 0.980 0.213 1
Br7 Br 0.839 0.181 0.917 1
Br8 Br 0.839 0.319 0.417 1
N1 N 0.250 0.075 0.170 1
N2 N 0.250 0.425 0.670 1
N3 N 0.750 0.575 0.330 1
N4 N 0.750 0.925 0.830 1
```

---

No. 4
# SnH10C3Br3N
Computed powder X-ray diffraction pattern, λ = 1.5418 Å (Cu Kα). Input: a structure optimized by DFT (PBE).

Main lines, in order of rising 2θ (2θ = 10–90°):
- hkl 0 0 1, 2θ = 13.1°, I 72
- hkl 1 0 0, 2θ = 13.4°, I 65
- hkl 0 2 0, 2θ = 13.7°, I 100
- hkl 0 1 1, 2θ = 14.8°, I 62
- hkl 1 1 0, 2θ = 15.1°, I 58
- hkl 1 2 1, 2θ = 24.2°, I 54
- hkl 0 0 2, 2θ = 26.3°, I 72
- hkl 2 0 0, 2θ = 27.0°, I 66
- hkl 0 4 0, 2θ = 27.7°, I 84
- hkl 0 1 3, 2θ = 40.6°, I 39

Structural model:
```
data_SnH10C3Br3N
_chemical_formula_sum 'Sn2 H20 C6 Br6 N2'
_cell_length_a 6.660
_cell_length_b 12.903
_cell_length_c 6.823
_cell_angle_alpha 90.00
_cell_angle_beta 96.86
_cell_angle_gamma 90.00
_symmetry_space_group_name_H-M 'P 1'
_symmetry_Int_Tables_number 1
loop_
_symmetry_equiv_pos_as_xyz
'x,y,z'
loop_
_atom_site_label
_atom_site_type_symbol
_atom_site_fract_x
_atom_site_fract_y
_atom_site_fract_z
_atom_site_occupancy
Sn1 Sn 0.057 0.000 0.053 1
Sn2 Sn 0.943 0.500 0.947 1
H1 H 0.198 0.687 0.417 1
H2 H 0.217 0.768 0.632 1
H3 H 0.317 0.397 0.477 1
H4 H 0.325 0.289 0.313 1
H5 H 0.339 0.285 0.762 1
H6 H 0.350 0.172 0.610 1
H7 H 0.360 0.846 0.362 1
H8 H 0.389 0.662 0.621 1
H9 H 0.453 0.696 0.191 1
H10 H 0.494 0.891 0.690 1
H11 H 0.506 0.391 0.310 1
H12 H 0.547 0.196 0.809 1
H13 H 0.611 0.162 0.379 1
H14 H 0.640 0.346 0.638 1
H15 H 0.650 0.672 0.390 1
H16 H 0.661 0.785 0.238 1
H17 H 0.675 0.789 0.687 1
H18 H 0.683 0.897 0.523 1
H19 H 0.783 0.268 0.368 1
H20 H 0.802 0.187 0.583 1
C1 C 0.302 0.722 0.535 1
C2 C 0.416 0.346 0.403 1
C3 C 0.439 0.232 0.695 1
C4 C 0.561 0.732 0.305 1
C5 C 0.584 0.846 0.597 1
C6 C 0.698 0.222 0.465 1
Br1 Br 0.035 0.791 0.018 1
Br2 Br 0.076 0.996 0.451 1
Br3 Br 0.465 0.003 0.076 1
Br4 Br 0.535 0.503 0.924 1
Br5 Br 0.924 0.496 0.549 1
Br6 Br 0.965 0.291 0.982 1
N1 N 0.446 0.791 0.444 1
N2 N 0.554 0.291 0.556 1
```

---

No. 5
# SrH6CBr3N3
Computed powder X-ray diffraction pattern, λ = 1.5418 Å (Cu Kα). Input: a structure optimized by DFT (PBE).

Main lines, in order of rising 2θ (2θ = 10–90°):
- hkl 1 0 0, 2θ = 11.0°, I 100
- hkl 1 0 -2, 2θ = 11.2°, I 97
- hkl 0 0 2, 2θ = 11.3°, I 92
- hkl 0 2 0, 2θ = 21.9°, I 58
- hkl 2 1 0, 2θ = 24.8°, I 80
- hkl 2 1 -4, 2θ = 25.0°, I 77
- hkl 0 1 4, 2θ = 25.3°, I 76
- hkl 2 2 0, 2θ = 31.4°, I 44
- hkl 2 2 -4, 2θ = 31.6°, I 45
- hkl 0 2 4, 2θ = 31.8°, I 45

Structural model:
```
data_SrH6CBr3N3
_chemical_formula_sum 'Sr4 H24 C4 Br12 N12'
_cell_length_a 9.262
_cell_length_b 8.119
_cell_length_c 18.093
_cell_angle_alpha 90.00
_cell_angle_beta 120.15
_cell_angle_gamma 90.00
_symmetry_space_group_name_H-M 'P 1'
_symmetry_Int_Tables_number 1
loop_
_symmetry_equiv_pos_as_xyz
'x,y,z'
loop_
_atom_site_label
_atom_site_type_symbol
_atom_site_fract_x
_atom_site_fract_y
_atom_site_fract_z
_atom_site_occupancy
Sr1 Sr 0.002 0.004 0.252 1
Sr2 Sr 0.002 0.496 0.752 1
Sr3 Sr 0.998 0.504 0.248 1
Sr4 Sr 0.998 0.996 0.748 1
H1 H 0.107 0.742 0.482 1
H2 H 0.107 0.758 0.982 1
H3 H 0.110 0.741 0.578 1
H4 H 0.110 0.759 0.078 1
H5 H 0.363 0.742 0.480 1
H6 H 0.363 0.758 0.980 1
H7 H 0.369 0.741 0.709 1
H8 H 0.369 0.759 0.209 1
H9 H 0.445 0.240 0.792 1
H10 H 0.445 0.260 0.292 1
H11 H 0.449 0.240 0.925 1
H12 H 0.449 0.260 0.425 1
H13 H 0.551 0.740 0.575 1
H14 H 0.551 0.760 0.075 1
H15 H 0.555 0.740 0.708 1
H16 H 0.555 0.760 0.208 1
H17 H 0.631 0.241 0.791 1
H18 H 0.631 0.259 0.291 1
H19 H 0.637 0.242 0.020 1
H20 H 0.637 0.258 0.520 1
H21 H 0.890 0.241 0.922 1
H22 H 0.890 0.259 0.422 1
H23 H 0.893 0.242 0.018 1
H24 H 0.893 0.258 0.518 1
C1 C 0.342 0.740 0.589 1
C2 C 0.342 0.760 0.089 1
C3 C 0.658 0.240 0.911 1
C4 C 0.658 0.260 0.411 1
Br1 Br 0.140 0.248 0.675 1
Br2 Br 0.140 0.252 0.175 1
Br3 Br 0.145 0.243 0.897 1
Br4 Br 0.145 0.257 0.397 1
Br5 Br 0.288 0.748 0.823 1
Br6 Br 0.288 0.752 0.323 1
Br7 Br 0.712 0.248 0.677 1
Br8 Br 0.712 0.252 0.177 1
Br9 Br 0.855 0.743 0.603 1
Br10 Br 0.855 0.757 0.103 1
Br11 Br 0.860 0.748 0.825 1
Br12 Br 0.860 0.752 0.325 1
N1 N 0.175 0.741 0.547 1
N2 N 0.175 0.759 0.047 1
N3 N 0.424 0.740 0.545 1
N4 N 0.424 0.760 0.045 1
N5 N 0.428 0.738 0.674 1
N6 N 0.428 0.762 0.174 1
N7 N 0.572 0.238 0.826 1
N8 N 0.572 0.262 0.326 1
N9 N 0.576 0.240 0.955 1
N10 N 0.576 0.260 0.455 1
N11 N 0.825 0.241 0.953 1
N12 N 0.825 0.259 0.453 1
```

---

Q: Which formula does entry 5 have?
A: SrH6CBr3N3